Diffraction record for CdAg2GeS4. The X-ray diffraction stick pattern is computed, not measured: it uses the GGA-PBE geometry in the Materials Project and copper Kα.
No peak broadening, texture or thermal motion is included.

Largest 12 diffraction maxima, most intense first, 2θ = 10–90°:
hkl  d [Å]  Position (°2θ)  I (rel.)
2 1 1  3.076  29.03  100
0 0 2  3.357  26.55  63
2 1 0  3.461  25.74  58
2 1 3  1.879  48.43  49
0 2 1  3.150  28.33  47
2 3 0  2.038  44.45  45
2 3 2  1.742  52.52  33
0 2 0  3.567  24.96  30
2 1 2  2.410  37.32  25
0 2 3  1.896  47.99  24
4 0 0  1.979  45.86  22
4 0 2  1.705  53.77  17

Structure:
```
data_CdAg2GeS4
_chemical_formula_sum 'Cd2 Ag4 Ge2 S8'
_space_group_name_H-M_alt 'P m n 21'
_space_group_IT_number 31
_cell_length_a 7.915
_cell_length_b 7.134
_cell_length_c 6.715
_cell_angle_alpha 90.00
_cell_angle_beta 90.00
_cell_angle_gamma 90.00
loop_
_space_group_symop_operation_xyz
'x,y,z'
'-x+1/2,-y,z+1/2'
'-x,y,z'
'x+1/2,-y,z+1/2'
loop_
_atom_site_label
_atom_site_type_symbol
_atom_site_fract_x
_atom_site_fract_y
_atom_site_fract_z
Cd1 Cd 0.000 0.145 0.000
Ag1 Ag 0.244 0.321 0.480
Ge1 Ge 0.000 0.825 0.496
S1 S 0.000 0.120 0.614
S2 S 0.000 0.821 0.161
S3 S 0.231 0.667 0.603
```

***

Diffraction record for GdHg3. The X-ray diffraction stick pattern is computed, not measured: it uses the GGA-PBE geometry in the Materials Project and copper Kα.
No peak broadening, texture or thermal motion is included.

Largest 12 diffraction maxima, most intense first, 2θ = 10–90°:
hkl  d [Å]  Position (°2θ)  I (rel.)
2 0 1  2.529  35.50  100
2 2 2  1.402  66.70  38
2 0 0  2.916  30.66  24
0 0 2  2.538  35.36  22
2 2 0  1.684  54.50  20
2 0 3  1.464  63.57  19
2 0 2  1.915  47.49  15
4 0 3  1.105  88.52  8
4 0 2  1.264  75.14  4
4 0 0  1.458  63.84  3
2 0 4  1.164  82.98  3
4 2 0  1.102  88.77  3

Structure:
```
data_GdHg3
_chemical_formula_sum 'Gd2 Hg6'
_space_group_name_H-M_alt 'P 63/m m c'
_space_group_IT_number 194
_space_group_name_Hall '-P 6c 2c'
_cell_length_a 6.7343
_cell_length_b 6.7343
_cell_length_c 5.0767
_cell_angle_alpha 90.00
_cell_angle_beta 90.00
_cell_angle_gamma 120.00
loop_
_atom_site_label
_atom_site_type_symbol
_atom_site_fract_x
_atom_site_fract_y
_atom_site_fract_z
Gd1 Gd 0.3333 0.6667 0.2500
Hg1 Hg 0.1650 0.3299 0.7500
```

***

Diffraction record for Pr2AlNO3. The X-ray diffraction stick pattern is computed, not measured: it uses the GGA-PBE geometry in the Materials Project and copper Kα.
No peak broadening, texture or thermal motion is included.

Largest 12 diffraction maxima, most intense first, 2θ = 10–90°:
hkl  d [Å]  Position (°2θ)  I (rel.)
1 0 3  2.807  31.89  100
1 1 0  2.655  33.75  63
1 0 1  3.601  24.73  50
1 1 4  2.035  44.52  45
2 1 3  1.561  59.20  36
2 0 0  1.878  48.48  32
0 0 4  3.168  28.17  23
1 0 7  1.631  56.43  18
2 1 7  1.231  77.53  14
1 1 6  1.653  55.60  14
2 0 4  1.615  57.01  13
0 0 6  2.112  42.82  13

Structure:
```
data_Pr2AlNO3
_chemical_formula_sum 'Pr4 Al2 N2 O6'
_space_group_name_H-M_alt 'I 4 m m'
_space_group_IT_number 107
_space_group_name_Hall 'I 4 -2'
_cell_length_a 3.755
_cell_length_b 3.755
_cell_length_c 12.672
_cell_angle_alpha 90.00
_cell_angle_beta 90.00
_cell_angle_gamma 90.00
loop_
_atom_site_label
_atom_site_type_symbol
_atom_site_fract_x
_atom_site_fract_y
_atom_site_fract_z
Pr1 Pr 0.000 0.000 0.000
Pr2 Pr 0.000 0.000 0.288
Al1 Al 0.000 0.000 0.638
N1 N 0.000 0.000 0.477
O1 O 0.000 0.000 0.809
O2 O 0.000 0.500 0.150
```

***

Diffraction record for NbRh2. The X-ray diffraction stick pattern is computed, not measured: it uses the GGA-PBE geometry in the Materials Project and copper Kα.
No peak broadening, texture or thermal motion is included.

Largest 12 diffraction maxima, most intense first, 2θ = 10–90°:
hkl  d [Å]  Position (°2θ)  I (rel.)
1 1 1  2.200  41.03  100
1 1 -2  2.113  42.79  64
0 0 3  2.252  40.04  51
2 0 1  2.050  44.18  26
1 1 0  2.435  36.92  24
3 1 -1  1.402  66.74  21
2 0 -1  2.404  37.41  15
3 1 -4  1.202  79.75  14
0 2 3  1.205  79.54  13
3 1 2  1.178  81.78  12
0 2 0  1.427  65.42  12
1 1 4  1.308  72.22  12

Structure:
```
data_NbRh2
_chemical_formula_sum 'Nb2 Rh4'
_space_group_name_H-M_alt 'P 1 m 1'
_space_group_IT_number 6
_cell_length_a 4.829
_cell_length_b 2.853
_cell_length_c 6.988
_cell_angle_alpha 90.00
_cell_angle_beta 104.84
_cell_angle_gamma 90.00
loop_
_space_group_symop_operation_xyz
'x,y,z'
'x,-y,z'
loop_
_atom_site_label
_atom_site_type_symbol
_atom_site_fract_x
_atom_site_fract_y
_atom_site_fract_z
Nb1 Nb 0.000 0.000 0.000
Nb2 Nb 0.249 0.000 0.639
Rh1 Rh 0.456 0.000 0.318
Rh2 Rh 0.491 0.500 0.984
Rh3 Rh 0.745 0.500 0.660
Rh4 Rh 0.943 0.500 0.321
```

***

Diffraction record for CrSi2. The X-ray diffraction stick pattern is computed, not measured: it uses the GGA-PBE geometry in the Materials Project and copper Kα.
No peak broadening, texture or thermal motion is included.

Largest 12 diffraction maxima, most intense first, 2θ = 10–90°:
hkl  d [Å]  Position (°2θ)  I (rel.)
1 1 1  2.084  43.42  100
1 1 2  1.813  50.32  63
0 0 3  2.124  42.57  40
2 2 0  1.103  88.69  25
1 0 1  3.276  27.22  20
1 1 4  1.291  73.32  19
3 0 1  1.249  76.26  17
1 1 0  2.205  40.92  15
3 0 2  1.182  81.40  15
1 1 3  1.530  60.53  9
1 0 2  2.446  36.74  9
2 0 0  1.910  47.62  4

Structure:
```
data_CrSi2
_chemical_formula_sum 'Cr3 Si6'
_space_group_name_H-M_alt 'P 62 2 2'
_space_group_IT_number 180
_space_group_name_Hall 'P 62 2 (0 0 4)'
_cell_length_a 4.4105
_cell_length_b 4.4105
_cell_length_c 6.3708
_cell_angle_alpha 90.00
_cell_angle_beta 90.00
_cell_angle_gamma 120.00
loop_
_atom_site_label
_atom_site_type_symbol
_atom_site_fract_x
_atom_site_fract_y
_atom_site_fract_z
Cr1 Cr 0.0000 0.5000 0.1667
Si1 Si 0.1662 0.3323 0.5000
```